No. 1
Starting from DFT lattice parameters and positions (PBE), the X-ray powder pattern of SmY8Er4 was computed for Cu Kα.

Largest 10 diffraction maxima, sorted by position, 10° ≤ 2θ ≤ 90°:
2theta  d/Å  I/Imax
28.48  3.134  23.7
29.50  3.028  25.6
31.24  2.863  100.0
32.80  2.730  39.0
38.91  2.315  35.7
50.08  1.822  28.7
52.41  1.746  14.4
59.20  1.561  18.7
60.22  1.537  13.9
82.91  1.164  12.7

Structure:
Lattice parameters (Å, degrees): 10.0096 10.0096 10.0096 42.69 42.69 42.69
Element x y z (fractional)
Sm: 0.0000 0.0000 0.0000
Y: 0.2498 0.2498 0.6981
Y: 0.2498 0.6981 0.2498
Y: 0.2828 0.2828 0.2828
Y: 0.3019 0.7502 0.7502
Y: 0.6981 0.2498 0.2498
Y: 0.7172 0.7172 0.7172
Y: 0.7502 0.3019 0.7502
Y: 0.7502 0.7502 0.3019
Er: 0.0000 0.0000 0.5000
Er: 0.0000 0.5000 0.0000
Er: 0.5000 0.0000 0.0000
Er: 0.5000 0.5000 0.5000

***

No. 2
Starting from DFT lattice parameters and positions (PBE), the X-ray powder pattern of Sm12YEr2 was computed for Cu Kα.

Largest 10 diffraction maxima, sorted by position, 10° ≤ 2θ ≤ 90°:
2theta  d/Å  I/Imax
28.44  3.138  67.6
29.53  3.025  37.5
31.00  2.885  40.9
31.47  2.843  69.8
31.70  2.823  100.0
34.02  2.635  30.8
35.68  2.516  34.0
39.34  2.290  36.7
50.58  1.805  22.5
55.44  1.657  44.5

Structure:
Lattice parameters (Å, degrees): 6.4782 6.4782 25.3762 90.00 90.00 90.00
Element x y z (fractional)
Sm: 0.0671 0.5671 0.1156
Sm: 0.0671 0.9329 0.8844
Sm: 0.0819 0.5819 0.5620
Sm: 0.0819 0.9181 0.4380
Sm: 0.2500 0.2500 0.2162
Sm: 0.2500 0.2500 0.3378
Sm: 0.2500 0.2500 0.6622
Sm: 0.2500 0.2500 0.7838
Sm: 0.4181 0.5819 0.4380
Sm: 0.4181 0.9181 0.5620
Sm: 0.4329 0.5671 0.8844
Sm: 0.4329 0.9329 0.1156
Sm: 0.5671 0.0671 0.8844
Sm: 0.5671 0.4329 0.1156
Sm: 0.5819 0.0819 0.4380
Sm: 0.5819 0.4181 0.5620
Sm: 0.7500 0.7500 0.2162
Sm: 0.7500 0.7500 0.3378
Sm: 0.7500 0.7500 0.6622
Sm: 0.7500 0.7500 0.7838
Sm: 0.9181 0.0819 0.5620
Sm: 0.9181 0.4181 0.4380
Sm: 0.9329 0.0671 0.1156
Sm: 0.9329 0.4329 0.8844
Y: 0.2500 0.7500 0.0000
Y: 0.7500 0.2500 0.0000
Er: 0.2500 0.7500 0.2736
Er: 0.2500 0.7500 0.7264
Er: 0.7500 0.2500 0.2736
Er: 0.7500 0.2500 0.7264

***

No. 3
Starting from DFT lattice parameters and positions (PBE), the X-ray powder pattern of Sm2Y5Er5 was computed for Cu Kα.

Largest 10 diffraction maxima, sorted by position, 10° ≤ 2θ ≤ 90°:
2theta  d/Å  I/Imax
18.85  4.709  5.9
30.81  2.902  100.0
35.73  2.513  50.4
51.42  1.777  35.5
61.16  1.515  42.0
64.19  1.451  12.1
75.67  1.257  3.7
75.74  1.256  1.9
83.92  1.153  17.3
86.62  1.124  16.1

Structure:
Lattice parameters (Å, degrees): 7.9453 7.9453 11.2437 115.09 115.09 36.86
Element x y z (fractional)
Sm: 0.0833 0.0833 0.2485
Sm: 0.9167 0.9167 0.7515
Y: 0.3337 0.3337 0.5002
Y: 0.4155 0.4155 0.2495
Y: 0.5000 0.5000 0.0000
Y: 0.5845 0.5845 0.7505
Y: 0.6663 0.6663 0.4998
Er: 0.0000 0.0000 0.5000
Er: 0.1679 0.1679 0.0005
Er: 0.2496 0.2496 0.7508
Er: 0.7504 0.7504 0.2492
Er: 0.8321 0.8321 0.9995

***

No. 4
Starting from DFT lattice parameters and positions (PBE), the X-ray powder pattern of Sm2Y4Er5 was computed for Cu Kα.

Largest 10 diffraction maxima, sorted by position, 10° ≤ 2θ ≤ 90°:
2theta  d/Å  I/Imax
11.49  7.699  31.3
29.43  3.035  35.8
30.25  2.955  36.4
31.02  2.883  59.4
32.44  2.760  100.0
32.56  2.750  98.2
34.24  2.619  23.0
37.81  2.379  17.1
49.79  1.832  18.6
59.83  1.546  18.2

Structure:
Lattice parameters (Å, degrees): 3.6630 9.1890 10.8930 102.54 99.65 90.00
Element x y z (fractional)
Sm: 0.1157 0.0052 0.2309
Sm: 0.8843 0.9948 0.7691
Y: 0.1715 0.4188 0.3429
Y: 0.4718 0.7958 0.9436
Y: 0.5282 0.2042 0.0564
Y: 0.8285 0.5812 0.6571
Er: 0.0000 0.5000 0.0000
Er: 0.2502 0.8286 0.5011
Er: 0.3820 0.3049 0.7636
Er: 0.6180 0.6951 0.2364
Er: 0.7498 0.1714 0.4989

***

No. 5
Starting from DFT lattice parameters and positions (PBE), the X-ray powder pattern of Sm4YEr3 was computed for Cu Kα.

Largest 10 diffraction maxima, sorted by position, 10° ≤ 2θ ≤ 90°:
2theta  d/Å  I/Imax
28.28  3.156  24.0
31.36  2.852  24.2
32.42  2.761  100.0
42.73  2.116  15.8
49.99  1.824  6.6
50.10  1.821  13.1
56.50  1.629  20.6
60.28  1.535  22.5
60.88  1.522  10.9
82.72  1.167  9.2

Structure:
Lattice parameters (Å, degrees): 11.4091 7.2974 6.3023 90.00 90.00 90.00
Element x y z (fractional)
Sm: 0.0000 0.1269 0.0000
Sm: 0.0000 0.8724 0.5046
Sm: 0.2479 0.1271 0.3355
Sm: 0.2521 0.8729 0.8355
Sm: 0.5000 0.1276 0.0046
Sm: 0.5000 0.8731 0.5000
Sm: 0.7479 0.8729 0.8355
Sm: 0.7521 0.1271 0.3355
Y: 0.0000 0.6227 0.0043
Y: 0.5000 0.3773 0.5043
Er: 0.0000 0.3786 0.5030
Er: 0.2499 0.3776 0.8366
Er: 0.2501 0.6224 0.3366
Er: 0.5000 0.6214 0.0030
Er: 0.7501 0.3776 0.8366
Er: 0.7499 0.6224 0.3366

***

No. 6
Starting from DFT lattice parameters and positions (PBE), the X-ray powder pattern of Sm3Y3Er8 was computed for Cu Kα.

Largest 10 diffraction maxima, sorted by position, 10° ≤ 2θ ≤ 90°:
2theta  d/Å  I/Imax
25.36  3.512  13.4
30.03  2.976  25.8
30.63  2.919  16.3
31.85  2.809  100.0
34.17  2.624  34.3
44.82  2.022  11.6
56.81  1.621  12.5
58.30  1.583  11.6
60.45  1.531  12.0
60.99  1.519  10.8

Structure:
Lattice parameters (Å, degrees): 9.6103 9.6103 9.6103 146.07 111.30 78.88
Element x y z (fractional)
Sm: 0.0000 0.0000 0.0000
Sm: 0.1837 0.6837 0.5000
Sm: 0.8163 0.3163 0.5000
Y: 0.2028 0.5000 0.7028
Y: 0.5000 0.5000 0.0000
Y: 0.7972 0.5000 0.2972
Er: 0.1178 0.2773 0.8406
Er: 0.2403 0.8966 0.3437
Er: 0.4367 0.2773 0.1594
Er: 0.4471 0.1034 0.3437
Er: 0.5529 0.8966 0.6563
Er: 0.5633 0.7227 0.8406
Er: 0.7597 0.1034 0.6563
Er: 0.8822 0.7227 0.1594

***

No. 7
Starting from DFT lattice parameters and positions (PBE), the X-ray powder pattern of SmY3Er8 was computed for Cu Kα.

Largest 10 diffraction maxima, sorted by position, 10° ≤ 2θ ≤ 90°:
2theta  d/Å  I/Imax
15.77  5.620  39.3
15.97  5.550  33.3
31.77  2.816  79.0
31.93  2.803  100.0
32.25  2.776  88.5
35.70  2.515  52.5
36.08  2.489  70.0
52.03  1.758  25.2
57.01  1.615  24.8
66.75  1.401  31.7

Structure:
Lattice parameters (Å, degrees): 8.5741 8.5741 8.5741 136.30 98.09 97.83
Element x y z (fractional)
Sm: 0.0000 0.0000 0.0000
Y: 0.2523 0.7523 0.5000
Y: 0.5000 0.5000 0.0000
Y: 0.7477 0.2477 0.5000
Er: 0.0811 0.2503 0.8308
Er: 0.2525 0.2484 0.5009
Er: 0.2525 0.7516 0.0041
Er: 0.4195 0.2503 0.1692
Er: 0.5805 0.7497 0.8308
Er: 0.7475 0.2484 0.9959
Er: 0.7475 0.7516 0.4991
Er: 0.9189 0.7497 0.1692

***

No. 8
Starting from DFT lattice parameters and positions (PBE), the X-ray powder pattern of Sm4YEr15 was computed for Cu Kα.

Largest 10 diffraction maxima, sorted by position, 10° ≤ 2θ ≤ 90°:
2theta  d/Å  I/Imax
30.99  2.885  100.0
35.94  2.499  50.6
51.74  1.767  36.0
61.54  1.507  42.7
64.60  1.443  12.3
76.15  1.250  3.8
84.50  1.147  17.8
87.18  1.118  5.6
87.21  1.118  5.6
87.32  1.117  5.5

Structure:
Lattice parameters (Å, degrees): 5.0004 5.0004 24.9615 90.00 90.00 90.00
Element x y z (fractional)
Sm: 0.0000 0.0000 0.1002
Sm: 0.0000 0.0000 0.3002
Sm: 0.0000 0.0000 0.6998
Sm: 0.0000 0.0000 0.8998
Y: 0.0000 0.0000 0.5000
Er: 0.0000 0.5000 0.0000
Er: 0.0000 0.5000 0.2003
Er: 0.0000 0.5000 0.4004
Er: 0.0000 0.5000 0.5996
Er: 0.0000 0.5000 0.7997
Er: 0.5000 0.0000 0.0000
Er: 0.5000 0.0000 0.2003
Er: 0.5000 0.0000 0.4004
Er: 0.5000 0.0000 0.5996
Er: 0.5000 0.0000 0.7997
Er: 0.5000 0.5000 0.1001
Er: 0.5000 0.5000 0.3005
Er: 0.5000 0.5000 0.5000
Er: 0.5000 0.5000 0.6995
Er: 0.5000 0.5000 0.8999

***

No. 9
Starting from DFT lattice parameters and positions (PBE), the X-ray powder pattern of Sm2Y9Er was computed for Cu Kα.

Largest 10 diffraction maxima, sorted by position, 10° ≤ 2θ ≤ 90°:
2theta  d/Å  I/Imax
17.54  5.057  6.1
24.90  3.576  5.4
30.62  2.920  100.0
35.50  2.529  50.2
51.08  1.788  35.0
60.74  1.525  41.1
63.75  1.460  11.8
75.14  1.264  5.4
83.28  1.160  16.6
85.96  1.131  15.4

Structure:
Lattice parameters (Å, degrees): 5.0574 5.0574 15.1703 90.00 90.00 90.00
Element x y z (fractional)
Sm: 0.0000 0.0000 0.1671
Sm: 0.0000 0.0000 0.8329
Y: 0.0000 0.5000 0.0000
Y: 0.0000 0.5000 0.3349
Y: 0.0000 0.5000 0.6651
Y: 0.5000 0.0000 0.0000
Y: 0.5000 0.0000 0.3349
Y: 0.5000 0.0000 0.6651
Y: 0.5000 0.5000 0.1678
Y: 0.5000 0.5000 0.5000
Y: 0.5000 0.5000 0.8322
Er: 0.0000 0.0000 0.5000

***

No. 10
Starting from DFT lattice parameters and positions (PBE), the X-ray powder pattern of SmY6Er2 was computed for Cu Kα.

Largest 10 diffraction maxima, sorted by position, 10° ≤ 2θ ≤ 90°:
2theta  d/Å  I/Imax
31.25  2.862  48.7
31.47  2.843  90.5
31.70  2.823  47.3
31.94  2.802  100.0
45.11  2.010  32.2
45.79  1.981  15.4
56.05  1.641  15.7
56.48  1.629  15.1
56.92  1.618  17.8
62.84  1.479  27.8

Structure:
Lattice parameters (Å, degrees): 11.8544 11.8544 5.7247 103.94 103.94 47.97
Element x y z (fractional)
Sm: 0.2500 0.7500 0.7500
Sm: 0.7500 0.2500 0.2500
Y: 0.0025 0.1665 0.8028
Y: 0.0829 0.5826 0.5827
Y: 0.1665 0.0025 0.3028
Y: 0.3335 0.4976 0.1340
Y: 0.4174 0.9171 0.9173
Y: 0.4976 0.3335 0.6340
Y: 0.5024 0.6665 0.3660
Y: 0.5826 0.0829 0.0827
Y: 0.6665 0.5024 0.8660
Y: 0.8335 0.9975 0.6972
Y: 0.9171 0.4174 0.4173
Y: 0.9975 0.8335 0.1972
Er: 0.1679 0.3321 0.0334
Er: 0.3321 0.1679 0.5334
Er: 0.6679 0.8321 0.4666
Er: 0.8321 0.6679 0.9666

***

No. 11
Starting from DFT lattice parameters and positions (PBE), the X-ray powder pattern of SmYEr4 was computed for Cu Kα.

Largest 10 diffraction maxima, sorted by position, 10° ≤ 2θ ≤ 90°:
2theta  d/Å  I/Imax
30.96  2.888  100.0
35.84  2.506  33.9
36.04  2.492  16.7
51.58  1.772  12.0
51.73  1.767  23.8
61.35  1.511  10.7
61.41  1.510  17.8
61.65  1.504  14.0
84.48  1.147  7.4
87.02  1.120  6.9

Structure:
Lattice parameters (Å, degrees): 4.9848 6.1340 7.0821 106.82 90.00 113.91
Element x y z (fractional)
Sm: 0.0000 0.0000 0.0000
Y: 0.0000 0.0000 0.5000
Er: 0.3328 0.6654 0.1664
Er: 0.3326 0.6648 0.6661
Er: 0.6674 0.3352 0.3339
Er: 0.6672 0.3346 0.8336

***

No. 12
Starting from DFT lattice parameters and positions (PBE), the X-ray powder pattern of SmErZn was computed for Cu Kα.

Largest 10 diffraction maxima, sorted by position, 10° ≤ 2θ ≤ 90°:
2theta  d/Å  I/Imax
25.83  3.449  22.4
29.21  3.057  11.9
33.23  2.696  100.0
35.30  2.542  49.6
46.46  1.955  13.6
50.79  1.798  17.6
58.00  1.590  12.0
58.76  1.571  9.8
62.05  1.496  32.8
85.38  1.137  7.9

Structure:
Lattice parameters (Å, degrees): 3.5954 3.5954 12.2286 90.00 90.00 90.00
Element x y z (fractional)
Sm: 0.0000 0.0000 0.0000
Sm: 0.5000 0.5000 0.5000
Er: 0.0000 0.0000 0.2885
Er: 0.5000 0.5000 0.7886
Zn: 0.0000 0.0000 0.6538
Zn: 0.5000 0.5000 0.1538

***

No. 13
Starting from DFT lattice parameters and positions (PBE), the X-ray powder pattern of SmEr3Zn2 was computed for Cu Kα.

Largest 10 diffraction maxima, sorted by position, 10° ≤ 2θ ≤ 90°:
2theta  d/Å  I/Imax
29.16  3.062  19.9
29.31  3.047  11.6
33.57  2.670  100.0
35.85  2.505  59.6
38.99  2.310  17.2
46.96  1.935  13.0
51.61  1.771  21.0
59.12  1.563  11.6
60.42  1.532  11.4
62.98  1.476  32.2

Structure:
Lattice parameters (Å, degrees): 3.5420 3.5420 12.1897 90.00 90.00 90.00
Element x y z (fractional)
Sm: 0.0000 0.0000 0.0000
Er: 0.5000 0.5000 0.2121
Er: 0.5000 0.5000 0.5000
Er: 0.5000 0.5000 0.7879
Zn: 0.0000 0.0000 0.3567
Zn: 0.0000 0.0000 0.6433